UPa3: computed X-ray powder pattern (λ = 1.5418 Å (Cu Kα)), based on a structure optimized by DFT (PBE).

Cell lengths 6.3494, 3.8579, 7.6931 Å; angles 90.00, 91.68, 90.00 degrees
Space group P2_1/m (No. 11)
Unique sites:
U1 0.0938 0.2500 0.0991 (multiplicity 2)
Pa1 0.1222 0.2500 0.6293 (multiplicity 2)
Pa2 0.3697 0.7500 0.3710 (multiplicity 2)
Pa3 0.3907 0.7500 0.8763 (multiplicity 2)

Top 10 peaks for 2θ from 10° to 90°, by angle:
two_theta	intensity
32.89	1000
36.17	399
36.67	735
37.27	320
47.11	194
47.28	171
60.53	182
60.80	184
61.55	154
62.03	130